# LiThGa3
Theoretical powder diffraction line list, Cu Ka. Input: a GGA-PBE-relaxed structure.

Peak list (10 most intense, 5° ≤ 2θ ≤ 70°, most intense first)
2theta	d [Å]	Rel. int.
33.85	2.648	100.0
34.18	2.624	90.3
29.41	3.037	55.6
41.74	2.164	39.9
42.52	2.126	36.1
61.09	1.517	32.7
36.06	2.491	32.3
24.23	3.673	31.5
20.94	4.241	30.8
25.07	3.552	26.0

Structure:
Cell: 11.048 11.048 4.252 Å, 100.24 100.24 22.59°
Positions (direct):
Li1 0.147 0.147 0.373
Li2 0.853 0.853 0.627
Th1 0.416 0.416 0.175
Th2 0.584 0.584 0.825
Ga1 0.032 0.032 0.280
Ga2 0.207 0.207 0.927
Ga3 0.293 0.293 0.518
Ga4 0.707 0.707 0.482
Ga5 0.793 0.793 0.073
Ga6 0.968 0.968 0.720